1.
Cd2Pd8Au3: calculated powder X-ray diffraction pattern (λ = 1.5418 Å (Cu Kα)), based on the PBE geometry in Alexandria.
Kinematic intensities with the Lorentz-polarization factor, no thermal factor.

Most intense lines, 10° ≤ 2θ ≤ 90°, in order of rising 2θ:
- d 2.326, I 339
- d 2.312, I 1000
- d 2.034, I 228
- d 2.001, I 216
- d 1.981, I 208
- d 1.423, I 141
- d 1.221, I 85
- d 1.207, I 82
- d 1.198, I 80
- d 1.156, I 108

Cell and atoms:
```
13
Lattice="4.903 0.000 0.000 1.602 5.490 0.000 0.745 -0.115 8.391" Properties=species:S:1:pos:R:3 pbc="T T T"
Cd 1.190 1.101 1.838
Cd 6.059 4.274 6.553
Pd 2.785 2.233 7.764
Pd 3.585 4.986 7.760
Pd 2.761 0.696 5.349
Pd 3.608 3.472 5.352
Pd 3.642 1.903 3.040
Pd 4.488 4.680 3.042
Pd 3.665 0.389 0.631
Pd 4.465 3.143 0.628
Au 1.173 2.688 4.196
Au 2.027 3.898 1.801
Au 5.223 1.477 6.590
```

2.
Cd8Pd5Au: calculated powder X-ray diffraction pattern (λ = 1.5418 Å (Cu Kα)), based on the PBE geometry in Alexandria.
Kinematic intensities with the Lorentz-polarization factor, no thermal factor.

Most intense lines, 10° ≤ 2θ ≤ 90°, in order of rising 2θ:
- d 3.330, I 174
- d 2.588, I 555
- d 2.578, I 1000
- d 2.182, I 826
- d 2.179, I 414
- d 1.823, I 142
- d 1.740, I 149
- d 1.665, I 153
- d 1.600, I 145
- d 1.323, I 266

Cell and atoms:
```
14
Lattice="-4.075 4.075 4.093 4.075 -4.075 4.093 4.075 4.075 -4.093" Properties=species:S:1:pos:R:3 pbc="T T T"
Cd 5.434 0.693 0.306
Cd 3.440 2.680 -1.591
Cd 0.693 2.715 -0.306
Cd 0.635 1.395 2.502
Cd 1.395 -0.635 5.685
Cd 3.382 1.360 3.788
Cd 2.680 4.710 1.591
Cd -1.360 3.382 4.399
Pd 2.103 -1.018 2.990
Pd 3.056 1.971 1.103
Pd 1.971 5.093 -1.103
Pd 0.000 4.075 2.047
Pd 1.018 2.103 5.197
Au 0.000 0.000 0.000
```

3.
Cd2Pd2Au: calculated powder X-ray diffraction pattern (λ = 1.5418 Å (Cu Kα)), based on the PBE geometry in Alexandria.
Kinematic intensities with the Lorentz-polarization factor, no thermal factor.

Most intense lines, 10° ≤ 2θ ≤ 90°, in order of rising 2θ:
- d 2.392, I 335
- d 2.384, I 1000
- d 2.082, I 224
- d 2.078, I 218
- d 2.040, I 209
- d 1.469, I 74
- d 1.455, I 137
- d 1.252, I 82
- d 1.251, I 162
- d 1.234, I 81

Cell and atoms:
```
5
Lattice="4.164 0.000 0.000 2.063 4.583 0.000 2.081 0.072 4.625" Properties=species:S:1:pos:R:3 pbc="T T T"
Cd 1.038 0.542 0.972
Cd 7.270 4.112 3.653
Pd 3.117 1.398 2.804
Pd 5.191 3.256 1.821
Au 3.114 2.291 0.000
```

4.
Cd3Pd5Au: calculated powder X-ray diffraction pattern (λ = 1.5418 Å (Cu Kα)), based on the PBE geometry in Alexandria.
Kinematic intensities with the Lorentz-polarization factor, no thermal factor.

Most intense lines, 10° ≤ 2θ ≤ 90°, in order of rising 2θ:
- d 6.981, I 85
- d 2.383, I 58
- d 2.327, I 1000
- d 2.284, I 948
- d 1.630, I 313
- d 1.386, I 70
- d 1.344, I 150
- d 1.335, I 307
- d 1.191, I 237
- d 1.164, I 90

Cell and atoms:
```
18
Lattice="8.061 0.000 0.000 -4.031 6.981 0.000 0.000 0.000 5.545" Properties=species:S:1:pos:R:3 pbc="T T T"
Cd -1.429 2.476 1.386
Cd -2.601 4.505 4.159
Cd 2.859 0.000 1.386
Cd 1.429 2.476 4.159
Cd 5.202 0.000 4.159
Cd 2.601 4.505 1.386
Pd -1.269 2.198 4.159
Pd -2.761 4.783 1.386
Pd 2.538 0.000 4.159
Pd 1.269 2.198 1.386
Pd 0.000 4.654 0.000
Pd 0.000 4.654 2.773
Pd 4.031 2.327 0.000
Pd 4.031 2.327 2.773
Pd 5.523 0.000 1.386
Pd 2.761 4.783 4.159
Au 0.000 0.000 0.000
Au 0.000 0.000 2.773
```